Entry 1:
Gd2Cr2C3: simulated X-ray powder pattern (copper Kα), based on the GGA-PBE geometry in the Materials Project.
Intensities are scaled so that the largest is 100.

Cell and atoms:
a = 10.467 Å, b = 3.403 Å, c = 5.646 Å
α = 90.00°, β = 105.28°, γ = 90.00°
Fractional positions:
1 Gd 0.105 0.000 0.320
2 Gd 0.395 0.500 0.680
3 Gd 0.605 0.500 0.320
4 Gd 0.895 0.000 0.680
5 Cr 0.158 0.500 0.895
6 Cr 0.342 0.000 0.105
7 Cr 0.658 0.000 0.895
8 Cr 0.842 0.500 0.105
9 C 0.000 0.500 0.000
10 C 0.213 0.000 0.775
11 C 0.287 0.500 0.225
12 C 0.500 0.000 0.000
13 C 0.713 0.500 0.775
14 C 0.787 0.000 0.225

Largest 6 diffraction maxima, in order of rising 2θ, 2θ from 10° to 80°:
2θ/deg, intensity
27.06, 43
27.66, 39
33.00, 50
33.46, 100
38.14, 86
41.59, 43



Entry 2:
Cr2GeC: simulated X-ray powder pattern (copper Kα), based on the GGA-PBE geometry in the Materials Project.
Intensities are scaled so that the largest is 100.

Cell and atoms:
a = 2.940 Å, b = 2.940 Å, c = 12.029 Å
α = 90.00°, β = 90.00°, γ = 120.00°
Fractional positions:
1 Cr 0.333 0.667 0.085
2 Cr 0.333 0.667 0.415
3 Cr 0.667 0.333 0.585
4 Cr 0.667 0.333 0.915
5 Ge 0.333 0.667 0.750
6 Ge 0.667 0.333 0.250
7 C 0.000 0.000 0.000
8 C 0.000 0.000 0.500

Largest 6 diffraction maxima, in order of rising 2θ, 2θ from 10° to 80°:
2θ/deg, intensity
35.24, 22
42.03, 100
45.23, 16
58.60, 14
63.25, 20
78.88, 14



Entry 3:
Cr3GeC: simulated X-ray powder pattern (copper Kα), based on the GGA-PBE geometry in the Materials Project.
Intensities are scaled so that the largest is 100.

Cell and atoms:
a = 5.342 Å, b = 5.342 Å, c = 7.648 Å
α = 90.00°, β = 90.00°, γ = 148.86°
Fractional positions:
1 Cr 0.031 0.969 0.750
2 Cr 0.374 0.626 0.544
3 Cr 0.374 0.626 0.956
4 Cr 0.626 0.374 0.044
5 Cr 0.626 0.374 0.456
6 Cr 0.969 0.031 0.250
7 Ge 0.260 0.740 0.250
8 Ge 0.740 0.260 0.750
9 C 0.000 0.000 0.000
10 C 0.000 0.000 0.500

Largest 6 diffraction maxima, in order of rising 2θ, 2θ from 10° to 80°:
2θ/deg, intensity
39.45, 40
40.27, 65
41.02, 63
42.34, 100
42.76, 81
48.59, 53



Entry 4:
CrH9C3N6: simulated X-ray powder pattern (copper Kα), based on the GGA-PBE geometry in the Materials Project.
Intensities are scaled so that the largest is 100.

Cell and atoms:
a = 5.886 Å, b = 8.270 Å, c = 11.765 Å
α = 89.86°, β = 84.47°, γ = 71.21°
Fractional positions:
1 Cr 0.000 0.000 0.000
2 Cr 0.500 0.000 0.000
3 H 0.052 0.379 0.419
4 H 0.101 0.336 0.362
5 H 0.145 0.103 0.539
6 H 0.154 0.660 0.395
7 H 0.159 0.015 0.673
8 H 0.268 0.606 0.857
9 H 0.271 0.999 0.908
10 H 0.362 0.473 0.731
11 H 0.422 0.463 0.199
12 H 0.578 0.537 0.801
13 H 0.638 0.527 0.269
14 H 0.729 0.001 0.092
15 H 0.732 0.394 0.143
16 H 0.841 0.985 0.327
17 H 0.846 0.340 0.605
18 H 0.855 0.897 0.461
19 H 0.899 0.664 0.638
20 H 0.948 0.621 0.581
21 C 0.094 0.753 0.327
22 C 0.415 0.500 0.814
23 C 0.483 0.223 0.926
24 C 0.517 0.777 0.074
25 C 0.585 0.500 0.186
26 C 0.906 0.247 0.673
27 N 0.077 0.116 0.624
28 N 0.150 0.104 0.096
29 N 0.284 0.151 0.147
30 N 0.397 0.004 0.380
31 N 0.456 0.867 0.352
32 N 0.457 0.353 0.880
33 N 0.543 0.647 0.120
34 N 0.544 0.133 0.648
35 N 0.603 0.996 0.620
36 N 0.716 0.849 0.853
37 N 0.850 0.896 0.904
38 N 0.923 0.884 0.376

Largest 6 diffraction maxima, in order of rising 2θ, 2θ from 10° to 80°:
2θ/deg, intensity
11.31, 100
13.80, 28
18.66, 38
22.76, 18
25.82, 19
27.03, 22



Entry 5:
CrH9C3N6: simulated X-ray powder pattern (copper Kα), based on the GGA-PBE geometry in the Materials Project.
Intensities are scaled so that the largest is 100.

Cell and atoms:
a = 7.524 Å, b = 7.524 Å, c = 7.524 Å
α = 97.57°, β = 97.57°, γ = 97.57°
Fractional positions:
1 Cr 0.000 0.000 0.000
2 Cr 0.500 0.500 0.500
3 H 0.157 0.333 0.440
4 H 0.196 0.443 0.649
5 H 0.246 0.602 0.268
6 H 0.268 0.246 0.602
7 H 0.333 0.440 0.157
8 H 0.351 0.804 0.557
9 H 0.398 0.732 0.754
10 H 0.440 0.157 0.333
11 H 0.443 0.649 0.196
12 H 0.557 0.351 0.804
13 H 0.560 0.843 0.667
14 H 0.602 0.268 0.246
15 H 0.649 0.196 0.443
16 H 0.667 0.560 0.843
17 H 0.732 0.754 0.398
18 H 0.754 0.398 0.732
19 H 0.804 0.557 0.351
20 H 0.843 0.667 0.560
21 C 0.051 0.760 0.869
22 C 0.131 0.949 0.240
23 C 0.240 0.131 0.949
24 C 0.760 0.869 0.051
25 C 0.869 0.051 0.760
26 C 0.949 0.240 0.131
27 N 0.076 0.624 0.789
28 N 0.211 0.924 0.376
29 N 0.254 0.365 0.554
30 N 0.365 0.554 0.254
31 N 0.376 0.211 0.924
32 N 0.446 0.746 0.635
33 N 0.554 0.254 0.365
34 N 0.624 0.789 0.076
35 N 0.635 0.446 0.746
36 N 0.746 0.635 0.446
37 N 0.789 0.076 0.624
38 N 0.924 0.376 0.211

Largest 6 diffraction maxima, in order of rising 2θ, 2θ from 10° to 80°:
2θ/deg, intensity
15.66, 100
18.26, 52
28.91, 91
40.41, 22
42.25, 15
46.59, 15



Entry 6:
CrH8C4S4N6: simulated X-ray powder pattern (copper Kα), based on the GGA-PBE geometry in the Materials Project.
Intensities are scaled so that the largest is 100.

Cell and atoms:
a = 4.112 Å, b = 7.645 Å, c = 10.304 Å
α = 92.82°, β = 100.52°, γ = 99.65°
Fractional positions:
1 Cr 0.000 0.000 0.000
2 H 0.330 0.917 0.283
3 H 0.380 0.499 0.703
4 H 0.433 0.534 0.874
5 H 0.496 0.768 0.391
6 H 0.504 0.232 0.609
7 H 0.567 0.466 0.126
8 H 0.620 0.501 0.297
9 H 0.670 0.083 0.717
10 C 0.049 0.176 0.288
11 C 0.439 0.699 0.191
12 C 0.561 0.301 0.809
13 C 0.951 0.824 0.712
14 S 0.023 0.286 0.423
15 S 0.336 0.763 0.032
16 S 0.664 0.237 0.968
17 S 0.977 0.714 0.577
18 N 0.067 0.096 0.189
19 N 0.412 0.799 0.297
20 N 0.447 0.454 0.793
21 N 0.553 0.546 0.207
22 N 0.588 0.201 0.703
23 N 0.933 0.904 0.811

Largest 6 diffraction maxima, in order of rising 2θ, 2θ from 10° to 80°:
2θ/deg, intensity
15.27, 23
22.01, 30
26.89, 100
27.20, 26
31.66, 28
38.86, 25



Entry 7:
CrH6C3S6N3: simulated X-ray powder pattern (copper Kα), based on the GGA-PBE geometry in the Materials Project.
Intensities are scaled so that the largest is 100.

Cell and atoms:
a = 8.938 Å, b = 8.938 Å, c = 8.938 Å
α = 99.86°, β = 99.86°, γ = 99.86°
Fractional positions:
1 Cr 0.248 0.248 0.248
2 Cr 0.752 0.752 0.752
3 H 0.027 0.682 0.341
4 H 0.181 0.731 0.501
5 H 0.269 0.499 0.819
6 H 0.318 0.659 0.973
7 H 0.341 0.027 0.682
8 H 0.499 0.819 0.269
9 H 0.501 0.181 0.731
10 H 0.659 0.973 0.318
11 H 0.682 0.341 0.027
12 H 0.731 0.501 0.181
13 H 0.819 0.269 0.499
14 H 0.973 0.318 0.659
15 C 0.035 0.271 0.448
16 C 0.271 0.448 0.035
17 C 0.448 0.035 0.271
18 C 0.552 0.965 0.729
19 C 0.729 0.552 0.965
20 C 0.965 0.729 0.552
21 S 0.024 0.783 0.750
22 S 0.217 0.250 0.976
23 S 0.231 0.306 0.517
24 S 0.250 0.976 0.217
25 S 0.306 0.517 0.231
26 S 0.483 0.769 0.694
27 S 0.517 0.231 0.306
28 S 0.694 0.483 0.769
29 S 0.750 0.024 0.783
30 S 0.769 0.694 0.483
31 S 0.783 0.750 0.024
32 S 0.976 0.217 0.250
33 N 0.065 0.714 0.458
34 N 0.286 0.542 0.935
35 N 0.458 0.065 0.714
36 N 0.542 0.935 0.286
37 N 0.714 0.458 0.065
38 N 0.935 0.286 0.542

Largest 6 diffraction maxima, in order of rising 2θ, 2θ from 10° to 80°:
2θ/deg, intensity
12.94, 92
15.98, 100
20.62, 39
21.07, 52
30.71, 65
41.95, 32



Entry 8:
HoCr2Si2C: simulated X-ray powder pattern (copper Kα), based on the GGA-PBE geometry in the Materials Project.
Intensities are scaled so that the largest is 100.

Cell and atoms:
a = 3.961 Å, b = 3.961 Å, c = 5.218 Å
α = 90.00°, β = 90.00°, γ = 90.00°
Fractional positions:
1 Ho 0.000 0.000 0.000
2 Cr 0.000 0.500 0.500
3 Cr 0.500 0.000 0.500
4 Si 0.500 0.500 0.229
5 Si 0.500 0.500 0.771
6 C 0.000 0.000 0.500

Largest 6 diffraction maxima, in order of rising 2θ, 2θ from 10° to 80°:
2θ/deg, intensity
22.45, 31
28.29, 56
36.41, 100
41.44, 50
45.82, 40
63.48, 28



Repeat the second record exactly.
Cr2GeC: simulated X-ray powder pattern (copper Kα), based on the GGA-PBE geometry in the Materials Project.
Intensities are scaled so that the largest is 100.

Cell and atoms:
a = 2.940 Å, b = 2.940 Å, c = 12.029 Å
α = 90.00°, β = 90.00°, γ = 120.00°
Fractional positions:
1 Cr 0.333 0.667 0.085
2 Cr 0.333 0.667 0.415
3 Cr 0.667 0.333 0.585
4 Cr 0.667 0.333 0.915
5 Ge 0.333 0.667 0.750
6 Ge 0.667 0.333 0.250
7 C 0.000 0.000 0.000
8 C 0.000 0.000 0.500

Largest 6 diffraction maxima, in order of rising 2θ, 2θ from 10° to 80°:
2θ/deg, intensity
35.24, 22
42.03, 100
45.23, 16
58.60, 14
63.25, 20
78.88, 14